(1)
Structure and simulated powder XRD pattern of NaCoH2C3O7 (a crystal structure in Alexandria, relaxed with PBE+U; CuKα).

Main lines, in order of rising 2θ (2θ from 10° to 80°):
d/Å, intensity, h k l
5.471, 24, 1 1 0
5.269, 100, 0 2 1
4.784, 77, 1 1 -1
3.917, 22, 0 4 0
3.892, 45, 1 3 0
3.561, 96, 0 0 2
2.860, 37, 2 1 -1
2.727, 26, 2 2 -1
2.347, 23, 0 1 3
2.132, 23, 2 5 -1

Atomic structure:
```
data_NaCoH2C3O7
_chemical_formula_sum 'Na4 Co4 H8 C12 O28'
_space_group_name_H-M_alt 'P 1 21/c 1'
_space_group_IT_number 14
_cell_length_a 5.954
_cell_length_b 15.667
_cell_length_c 7.263
_cell_angle_alpha 90.00
_cell_angle_beta 101.32
_cell_angle_gamma 90.00
loop_
_space_group_symop_operation_xyz
'x,y,z'
'-x,-y,-z'
'-x,y+1/2,-z+1/2'
'x,-y+1/2,z+1/2'
loop_
_atom_site_label
_atom_site_fract_x
_atom_site_fract_y
_atom_site_fract_z
Na1 0.015 0.180 0.194
Co1 0.208 0.100 0.792
H1 0.339 0.029 0.134
H2 0.441 0.125 0.140
C1 0.011 0.538 0.068
C2 0.317 0.647 0.709
C3 0.464 0.730 0.748
O1 0.076 0.108 0.496
O2 0.102 0.657 0.671
O3 0.113 0.525 0.237
O4 0.305 0.088 0.088
O5 0.328 0.223 0.769
O6 0.371 0.704 0.294
O7 0.428 0.577 0.718
```

***

(2)
Structure and simulated powder XRD pattern of CoH8C2O10 (a crystal structure in Alexandria, relaxed with PBE+U; CuKα).

Main lines, in order of rising 2θ (2θ from 10° to 80°):
d/Å, intensity, h k l
5.691, 56, 1 0 0
5.408, 62, 0 1 1
5.237, 38, 0 0 2
4.976, 100, 1 0 -2
4.227, 21, 1 1 0
3.568, 72, 1 1 1
3.201, 13, 1 1 -3
2.765, 36, 2 1 -1
2.117, 18, 1 2 -4
2.015, 13, 0 2 4

Atomic structure:
```
data_CoH8C2O10
_chemical_formula_sum 'Co2 H16 C4 O20'
_space_group_name_H-M_alt 'P 1 21/c 1'
_space_group_IT_number 14
_cell_length_a 6.214
_cell_length_b 6.314
_cell_length_c 11.436
_cell_angle_alpha 90.00
_cell_angle_beta 113.68
_cell_angle_gamma 90.00
loop_
_space_group_symop_operation_xyz
'x,y,z'
'-x,-y,-z'
'-x,y+1/2,-z+1/2'
'x,-y+1/2,z+1/2'
loop_
_atom_site_label
_atom_site_fract_x
_atom_site_fract_y
_atom_site_fract_z
Co1 0.000 0.000 0.000
H1 0.172 0.119 0.847
H2 0.174 0.192 0.454
H3 0.281 0.693 0.053
H4 0.423 0.591 0.620
C1 0.249 0.135 0.658
O1 0.078 0.185 0.894
O2 0.142 0.181 0.146
O3 0.277 0.048 0.563
O4 0.290 0.646 0.540
O5 0.319 0.048 0.768
```